Structure and calculated powder diffraction line list of DySc2InAu4 (a structure optimized by DFT (GGA-PBE); a wavelength of 1.5418 Å).
Kinematic intensities with the Lorentz-polarization factor, no thermal factor.

Crystal structure
```
data_DySc2InAu4
_cell_length_a 4.8676
_cell_length_b 4.8676
_cell_length_c 24.2538
_cell_angle_alpha 90.00
_cell_angle_beta 90.00
_cell_angle_gamma 120.00
_symmetry_space_group_name_H-M 'R -3 m'
_symmetry_Int_Tables_number 166
_symmetry_space_group_name_Hall '-R 3 2"'
loop_
_atom_site_label
_atom_site_type_symbol
_atom_site_fract_x
_atom_site_fract_y
_atom_site_fract_z
_atom_site_occupancy
Dy1 Dy 0.0000 0.0000 0.0000 1
Sc1 Sc 0.0000 0.0000 0.2437 1
In1 In 0.0000 0.0000 0.5000 1
Au1 Au 0.0000 0.0000 0.1205 1
Au2 Au 0.0000 0.0000 0.3712 1
```

Largest 10 diffraction maxima, low angle first, 2θ from 10° to 90°:
2θ = 25.74°, intensity 33, (1 0 4); 2θ = 36.51°, intensity 99, (0 1 8); 2θ = 36.93°, intensity 100, (1 1 0); 2θ = 52.91°, intensity 34, (2 0 8); 2θ = 65.43°, intensity 16, (1 0 16); 2θ = 66.27°, intensity 35, (1 2 8); 2θ = 66.55°, intensity 18, (3 0 0); 2θ = 78.62°, intensity 11, (2 2 0); 2θ = 89.17°, intensity 15, (2 1 16); 2θ = 89.94°, intensity 16, (3 1 8)